Entry 1:
Diffraction record for Ba6Ti5S15O. The X-ray diffraction stick pattern is simulated, not measured: it uses a DFT-relaxed cell (GGA-PBE, Alexandria) and a wavelength of 1.5418 Å.
Kinematic intensities with the Lorentz-polarization factor, no thermal factor.

Peak list (12 most intense, 10° ≤ 2θ ≤ 80°, sorted by position)
- 2θ = 20.54°, I = 31
- 2θ = 22.18°, I = 40
- 2θ = 22.48°, I = 22
- 2θ = 22.62°, I = 37
- 2θ = 26.05°, I = 65
- 2θ = 26.33°, I = 40
- 2θ = 28.35°, I = 30
- 2θ = 31.80°, I = 58
- 2θ = 32.35°, I = 28
- 2θ = 34.69°, I = 55
- 2θ = 34.87°, I = 100
- 2θ = 53.58°, I = 23

Structural model:
```
Ba6Ti5S15O
1.0
3.3844 -7.9102 0.0000
3.3844 7.9102 0.0000
0.0000 0.0000 24.0473
Ba Ti S O
12 10 30 2
direct
0.0526 0.3424 0.0177
0.1224 0.3194 0.8220
0.1840 0.4022 0.3356
0.3194 0.1224 0.1780
0.3424 0.0526 0.9823
0.4022 0.1840 0.6644
0.5978 0.8160 0.1644
0.6576 0.9474 0.4823
0.6806 0.8776 0.6780
0.8160 0.5978 0.8356
0.8776 0.6806 0.3220
0.9474 0.6576 0.5177
0.0512 0.5634 0.6953
0.1317 0.3877 0.5946
0.3303 0.3303 0.5000
0.3877 0.1317 0.4054
0.4366 0.9488 0.8047
0.5634 0.0512 0.3047
0.6123 0.8683 0.9054
0.6697 0.6697 0.0000
0.8683 0.6123 0.0946
0.9488 0.4366 0.1953
0.0346 0.0616 0.5724
0.0616 0.0346 0.4276
0.1094 0.3096 0.1965
0.1465 0.4519 0.4940
0.1932 0.7203 0.1099
0.1975 0.3728 0.6906
0.2403 0.7161 0.8841
0.2431 0.7569 0.2500
0.2797 0.8068 0.3901
0.2839 0.7597 0.6159
0.3096 0.1094 0.8035
0.3728 0.1975 0.3094
0.4350 0.4685 0.9262
0.4519 0.1465 0.5060
0.4685 0.4350 0.0738
0.5315 0.5650 0.5738
0.5481 0.8535 0.0060
0.5650 0.5315 0.4262
0.6272 0.8025 0.8094
0.6904 0.8906 0.3035
0.7161 0.2403 0.1159
0.7203 0.1932 0.8901
0.7569 0.2431 0.7500
0.7597 0.2839 0.3841
0.8025 0.6272 0.1906
0.8068 0.2797 0.6099
0.8535 0.5481 0.9940
0.8906 0.6904 0.6965
0.9384 0.9654 0.9276
0.9654 0.9384 0.0724
0.2571 0.7429 0.7500
0.7429 0.2571 0.2500
```



Entry 2:
Diffraction record for BaTmS2O8. The X-ray diffraction stick pattern is simulated, not measured: it uses a DFT-relaxed cell (GGA-PBE, Alexandria) and a wavelength of 1.5418 Å.
Kinematic intensities with the Lorentz-polarization factor, no thermal factor.

Peak list (12 most intense, 10° ≤ 2θ ≤ 80°, sorted by position)
- 2θ = 19.73°, I = 89
- 2θ = 21.53°, I = 10
- 2θ = 22.51°, I = 30
- 2θ = 29.37°, I = 100
- 2θ = 34.53°, I = 45
- 2θ = 41.06°, I = 34
- 2θ = 45.95°, I = 40
- 2θ = 48.54°, I = 19
- 2θ = 53.92°, I = 15
- 2θ = 57.00°, I = 19
- 2θ = 58.73°, I = 26
- 2θ = 71.95°, I = 12

Structural model:
```
BaTmS2O8
1.0
5.1947 0.0000 0.0000
-2.5974 4.4988 0.0000
0.0000 0.0000 8.2546
Ba Tm S O
1 1 2 8
direct
0.0000 0.0000 0.0000
0.0000 0.0000 0.5000
0.3333 0.6667 0.7608
0.6667 0.3333 0.2392
0.1753 0.3532 0.7036
0.1779 0.8247 0.7036
0.3333 0.6667 0.9412
0.3532 0.1779 0.2964
0.6468 0.8221 0.7036
0.6667 0.3333 0.0588
0.8221 0.1753 0.2964
0.8247 0.6468 0.2964
```



Entry 3:
Diffraction record for Ba3U2S2O5. The X-ray diffraction stick pattern is simulated, not measured: it uses a DFT-relaxed cell (GGA-PBE, Alexandria) and a wavelength of 1.5418 Å.
Kinematic intensities with the Lorentz-polarization factor, no thermal factor.

Peak list (12 most intense, 10° ≤ 2θ ≤ 80°, sorted by position)
- 2θ = 20.21°, I = 15
- 2θ = 26.45°, I = 100
- 2θ = 28.30°, I = 70
- 2θ = 31.55°, I = 35
- 2θ = 40.46°, I = 35
- 2θ = 45.51°, I = 17
- 2θ = 48.99°, I = 39
- 2θ = 51.55°, I = 14
- 2θ = 52.19°, I = 17
- 2θ = 66.28°, I = 13
- 2θ = 79.52°, I = 14
- 2θ = 79.74°, I = 12

Structural model:
```
Ba3U2S2O5
1.0
-2.2297 2.2297 12.8615
2.2297 -2.2297 12.8615
2.2297 2.2297 -12.8615
Ba U S O
3 2 2 5
direct
0.0000 0.0000 0.0000
0.1819 0.1819 0.0000
0.8181 0.8181 0.0000
0.4146 0.4146 0.0000
0.5854 0.5854 0.0000
0.3048 0.3048 0.0000
0.6952 0.6952 0.0000
0.0819 0.5819 0.5000
0.4181 0.9181 0.5000
0.5000 0.5000 0.0000
0.5819 0.0819 0.5000
0.9181 0.4181 0.5000
```



Please write out number 1 again, unchanged.
Diffraction record for Ba6Ti5S15O. The X-ray diffraction stick pattern is simulated, not measured: it uses a DFT-relaxed cell (GGA-PBE, Alexandria) and a wavelength of 1.5418 Å.
Kinematic intensities with the Lorentz-polarization factor, no thermal factor.

Peak list (12 most intense, 10° ≤ 2θ ≤ 80°, sorted by position)
- 2θ = 20.54°, I = 31
- 2θ = 22.18°, I = 40
- 2θ = 22.48°, I = 22
- 2θ = 22.62°, I = 37
- 2θ = 26.05°, I = 65
- 2θ = 26.33°, I = 40
- 2θ = 28.35°, I = 30
- 2θ = 31.80°, I = 58
- 2θ = 32.35°, I = 28
- 2θ = 34.69°, I = 55
- 2θ = 34.87°, I = 100
- 2θ = 53.58°, I = 23

Structural model:
```
Ba6Ti5S15O
1.0
3.3844 -7.9102 0.0000
3.3844 7.9102 0.0000
0.0000 0.0000 24.0473
Ba Ti S O
12 10 30 2
direct
0.0526 0.3424 0.0177
0.1224 0.3194 0.8220
0.1840 0.4022 0.3356
0.3194 0.1224 0.1780
0.3424 0.0526 0.9823
0.4022 0.1840 0.6644
0.5978 0.8160 0.1644
0.6576 0.9474 0.4823
0.6806 0.8776 0.6780
0.8160 0.5978 0.8356
0.8776 0.6806 0.3220
0.9474 0.6576 0.5177
0.0512 0.5634 0.6953
0.1317 0.3877 0.5946
0.3303 0.3303 0.5000
0.3877 0.1317 0.4054
0.4366 0.9488 0.8047
0.5634 0.0512 0.3047
0.6123 0.8683 0.9054
0.6697 0.6697 0.0000
0.8683 0.6123 0.0946
0.9488 0.4366 0.1953
0.0346 0.0616 0.5724
0.0616 0.0346 0.4276
0.1094 0.3096 0.1965
0.1465 0.4519 0.4940
0.1932 0.7203 0.1099
0.1975 0.3728 0.6906
0.2403 0.7161 0.8841
0.2431 0.7569 0.2500
0.2797 0.8068 0.3901
0.2839 0.7597 0.6159
0.3096 0.1094 0.8035
0.3728 0.1975 0.3094
0.4350 0.4685 0.9262
0.4519 0.1465 0.5060
0.4685 0.4350 0.0738
0.5315 0.5650 0.5738
0.5481 0.8535 0.0060
0.5650 0.5315 0.4262
0.6272 0.8025 0.8094
0.6904 0.8906 0.3035
0.7161 0.2403 0.1159
0.7203 0.1932 0.8901
0.7569 0.2431 0.7500
0.7597 0.2839 0.3841
0.8025 0.6272 0.1906
0.8068 0.2797 0.6099
0.8535 0.5481 0.9940
0.8906 0.6904 0.6965
0.9384 0.9654 0.9276
0.9654 0.9384 0.0724
0.2571 0.7429 0.7500
0.7429 0.2571 0.2500
```